1.
The following is a computed powder X-ray diffraction pattern of SrNpFe2O8. It was derived from a crystal structure in Alexandria, relaxed with GGA+U, using copper Kα.
Peak positions follow from Bragg's law for the DFT cell and can differ from measured ones.

Largest 8 diffraction maxima, in order of rising 2θ, 2θ from 5° to 70°:
| 2theta | intensity | hkl |
| --- | --- | --- |
| 17.73 | 100.0 | 1 0 0 |
| 21.81 | 82.8 | 0 1 1 |
| 30.96 | 71.0 | 1 1 0 |
| 31.12 | 84.6 | 1 0 2 |
| 40.44 | 24.0 | 2 -1 2 |
| 44.47 | 43.4 | 0 2 2 |
| 55.15 | 51.6 | 3 0 0 |
| 61.85 | 19.7 | 1 1 4 |

Crystal structure
abc: 5.7761 5.7761 7.0222
angles: 90.00 90.00 120.00
Space group P-3 (No. 147)
Asymmetric unit:
Sr (0.0000, 0.0000, 0.0000) [1 per cell]
Np (0.0000, 0.0000, 0.5000) [1 per cell]
Fe (0.3333, 0.6667, 0.7740) [2 per cell]
O (0.1437, 0.3101, 0.6832) [6 per cell]
O (0.3333, 0.6667, 0.0203) [2 per cell]



2.
The following is a computed powder X-ray diffraction pattern of NpTaFeO6. It was derived from a crystal structure in Alexandria, relaxed with GGA+U, using copper Kα.
Peak positions follow from Bragg's law for the DFT cell and can differ from measured ones.

Largest 8 diffraction maxima, in order of rising 2θ, 2θ from 5° to 70°:
| 2theta | intensity | hkl |
| --- | --- | --- |
| 20.31 | 33.5 | 1 0 1 |
| 25.73 | 100.0 | 1 1 0 |
| 33.19 | 86.0 | 1 0 3 |
| 36.71 | 26.4 | 2 0 0 |
| 50.31 | 68.0 | 2 1 3 |
| 52.88 | 16.6 | 2 2 0 |
| 59.72 | 17.0 | 3 1 0 |
| 63.88 | 19.5 | 3 0 3 |

Crystal structure
abc: 4.8968 4.8968 9.7051
angles: 90.00 90.00 90.00
Space group P4_2nm (No. 102)
Asymmetric unit:
Np (0.0000, 0.0000, 0.0000) [2 per cell]
Ta (0.0000, 0.0000, 0.6634) [2 per cell]
Fe (0.0000, 0.0000, 0.3282) [2 per cell]
O (0.1899, 0.1899, 0.8191) [4 per cell]
O (0.1928, 0.1928, 0.5079) [4 per cell]
O (0.2099, 0.2099, 0.1611) [4 per cell]



3.
The following is a computed powder X-ray diffraction pattern of NpTlFeO6. It was derived from a crystal structure in Alexandria, relaxed with GGA+U, using copper Kα.
Peak positions follow from Bragg's law for the DFT cell and can differ from measured ones.

Largest 8 diffraction maxima, in order of rising 2θ, 2θ from 5° to 70°:
| 2theta | intensity | hkl |
| --- | --- | --- |
| 21.09 | 30.5 | 1 0 1 |
| 26.54 | 100.0 | 1 0 2 |
| 33.13 | 45.9 | 1 1 0 |
| 33.84 | 10.0 | 1 0 3 |
| 42.94 | 27.5 | 2 0 2 |
| 50.75 | 40.8 | 1 1 4 |
| 55.28 | 26.8 | 2 1 2 |
| 59.18 | 14.6 | 3 0 0 |

Crystal structure
abc: 5.4082 5.4082 9.6374
angles: 90.00 90.00 120.00
Space group P-31c (No. 163)
Asymmetric unit:
Np (0.3333, 0.6667, 0.2500) [2 per cell]
Tl (0.0000, 0.0000, 0.0000) [2 per cell]
Fe (0.3333, 0.6667, 0.7500) [2 per cell]
O (0.0036, 0.3564, 0.6371) [12 per cell]